This entry pairs a crystal structure of Ba3SrPd8 with its computed X-ray powder pattern. Radiation: Cu Kα X-rays. Structure: a GGA-PBE-relaxed structure.

Most intense lines, 15 to 90 degrees two-theta, by angle:
d/Å, Rel. int.
2.855, 30
2.435, 100
2.331, 37
1.649, 9
1.554, 31
1.429, 14
1.426, 14
1.277, 5
1.232, 8
1.218, 10

a = 9.8773 Å, b = 9.8773 Å, c = 9.8773 Å
α = 33.64°, β = 33.64°, γ = 33.64°
Positions (direct):
Ba1 0.0000 0.0000 0.0000
Ba2 0.1253 0.1253 0.1253
Ba3 0.6244 0.6244 0.6244
Sr1 0.4995 0.4995 0.4995
Pd1 0.0614 0.0614 0.5607
Pd2 0.0614 0.5607 0.0614
Pd3 0.0648 0.5628 0.5628
Pd4 0.3121 0.3121 0.3121
Pd5 0.5607 0.0614 0.0614
Pd6 0.5628 0.0648 0.5628
Pd7 0.5628 0.5628 0.0648
Pd8 0.8126 0.8126 0.8126